# 1
# Hf2NbPd
Simulated X-ray powder pattern, Cu Kα (λ = 1.5418 Å). Input: a DFT-relaxed cell (GGA-PBE, Alexandria).

Top 10 peaks for 2θ from 10° to 80°, in order of rising 2θ:
| 2θ/deg | d [Å] | Rel. int. |
| --- | --- | --- |
| 26.0 | 3.428 | 4 |
| 26.8 | 3.321 | 8 |
| 37.7 | 2.385 | 100 |
| 38.3 | 2.348 | 48 |
| 46.9 | 1.937 | 4 |
| 53.5 | 1.714 | 9 |
| 55.3 | 1.660 | 16 |
| 60.8 | 1.523 | 2 |
| 67.7 | 1.384 | 18 |
| 68.9 | 1.363 | 34 |

Cell and atoms:
```
Hf2NbPd
1.0
4.6963 0.0000 0.0000
0.0000 4.6963 0.0000
0.0000 0.0000 3.4281
Hf Nb Pd
2 1 1
direct
0.0000 0.5000 0.0000
0.5000 0.0000 0.0000
0.0000 0.0000 0.5000
0.5000 0.5000 0.5000
```



# 2
# CsK4Rb8
Simulated X-ray powder pattern, Cu Kα (λ = 1.5418 Å). Input: a DFT-relaxed cell (GGA-PBE, Alexandria).

Top 10 peaks for 2θ from 10° to 80°, in order of rising 2θ:
| 2θ/deg | d [Å] | Rel. int. |
| --- | --- | --- |
| 14.4 | 6.138 | 40 |
| 16.9 | 5.235 | 29 |
| 17.7 | 5.012 | 70 |
| 20.5 | 4.340 | 51 |
| 22.9 | 3.882 | 37 |
| 25.1 | 3.544 | 100 |
| 29.1 | 3.069 | 61 |
| 38.8 | 2.320 | 45 |
| 44.3 | 2.046 | 76 |
| 66.4 | 1.408 | 36 |

Cell and atoms:
```
CsK4Rb8
1.0
0.0000 8.6809 8.6809
8.6809 0.0000 8.6809
8.6809 8.6809 0.0000
Cs K Rb
1 4 8
direct
0.0000 0.0000 0.0000
0.2155 0.5948 0.5948
0.5948 0.2155 0.5948
0.5948 0.5948 0.2155
0.5948 0.5948 0.5948
0.3464 0.3464 0.3464
0.3464 0.3464 0.9609
0.3464 0.9609 0.3464
0.4478 0.8507 0.8507
0.8507 0.4478 0.8507
0.8507 0.8507 0.4478
0.8507 0.8507 0.8507
0.9609 0.3464 0.3464
```



# 3
# Ta3Pd2C
Simulated X-ray powder pattern, Cu Kα (λ = 1.5418 Å). Input: a DFT-relaxed cell (GGA-PBE, Alexandria).

Top 10 peaks for 2θ from 10° to 80°, in order of rising 2θ:
| 2θ/deg | d [Å] | Rel. int. |
| --- | --- | --- |
| 28.1 | 3.171 | 10 |
| 38.1 | 2.364 | 100 |
| 40.2 | 2.242 | 58 |
| 42.3 | 2.138 | 24 |
| 54.9 | 1.671 | 9 |
| 58.2 | 1.586 | 9 |
| 67.3 | 1.391 | 25 |
| 68.8 | 1.365 | 5 |
| 71.7 | 1.317 | 22 |
| 73.1 | 1.295 | 6 |

Cell and atoms:
```
Ta3Pd2C
1.0
7.0911 0.0000 0.0000
0.0000 7.0911 0.0000
0.0000 0.0000 7.0911
Ta Pd C
12 8 4
direct
0.0464 0.1250 0.7964
0.1250 0.7964 0.0464
0.2036 0.5464 0.3750
0.2964 0.4536 0.8750
0.3750 0.2036 0.5464
0.4536 0.8750 0.2964
0.5464 0.3750 0.2036
0.6250 0.7036 0.9536
0.7036 0.9536 0.6250
0.7964 0.0464 0.1250
0.8750 0.2964 0.4536
0.9536 0.6250 0.7036
0.0645 0.9355 0.4355
0.1855 0.1855 0.1855
0.3145 0.8145 0.6855
0.4355 0.0645 0.9355
0.5645 0.5645 0.5645
0.6855 0.3145 0.8145
0.8145 0.6855 0.3145
0.9355 0.4355 0.0645
0.1250 0.3750 0.6250
0.3750 0.6250 0.1250
0.6250 0.1250 0.3750
0.8750 0.8750 0.8750
```



# 4
# KHgClO
Simulated X-ray powder pattern, Cu Kα (λ = 1.5418 Å). Input: a DFT-relaxed cell (GGA-PBE, Alexandria).

Top 10 peaks for 2θ from 10° to 80°, in order of rising 2θ:
| 2θ/deg | d [Å] | Rel. int. |
| --- | --- | --- |
| 12.1 | 7.331 | 100 |
| 20.8 | 4.264 | 73 |
| 23.2 | 3.839 | 40 |
| 24.1 | 3.686 | 88 |
| 24.3 | 3.665 | 66 |
| 26.2 | 3.401 | 50 |
| 31.4 | 2.853 | 74 |
| 32.2 | 2.780 | 63 |
| 33.8 | 2.651 | 52 |
| 40.0 | 2.251 | 62 |

Cell and atoms:
```
KHgClO
1.0
3.8388 0.0000 0.0000
0.0000 4.2644 0.0000
0.0000 0.0000 7.3308
K Hg Cl O
1 1 1 1
direct
0.0000 0.0000 0.0000
0.0000 0.0000 0.4777
0.5000 0.5000 0.8546
0.5000 0.0000 0.3899
```